No. 1
The following is a computed powder diffraction line list of TmScHgIr. It was derived from a structure optimized by DFT (GGA-PBE), using Cu Kα (weighted mean of Kα1 and Kα2).
Lines closer than 0.1° are merged.

Structural model:
Lattice parameters (Å, degrees): 3.385 3.385 7.235 90.00 90.00 90.00
Positions (direct):
Tm 0.000 0.000 0.000
Sc 0.000 0.000 0.561
Hg 0.500 0.500 0.297
Ir 0.500 0.500 0.765

Peak list (10 most intense, 2θ from 15° to 90°, in order of rising 2θ)
| 2theta | I_rel |
| --- | --- |
| 24.6 | 7 |
| 26.3 | 10 |
| 29.1 | 15 |
| 36.3 | 100 |
| 37.6 | 49 |
| 50.5 | 8 |
| 54.2 | 17 |
| 64.6 | 15 |
| 67.0 | 34 |
| 77.2 | 9 |

No. 2
The following is a computed powder diffraction line list of CsTl5Sn2Pb. It was derived from a structure optimized by DFT (GGA-PBE), using Cu Kα (weighted mean of Kα1 and Kα2).
Lines closer than 0.1° are merged.

Structural model:
Lattice parameters (Å, degrees): 5.542 5.542 12.630 90.00 90.00 90.00
Positions (direct):
Cs 0.000 0.000 0.000
Tl 0.000 0.500 0.352
Tl 0.000 0.500 0.648
Tl 0.500 0.000 0.352
Tl 0.500 0.000 0.648
Tl 0.500 0.500 0.000
Sn 0.500 0.500 0.229
Sn 0.500 0.500 0.771
Pb 0.500 0.500 0.500

Peak list (10 most intense, 2θ from 15° to 90°, in order of rising 2θ)
| 2theta | I_rel |
| --- | --- |
| 16.0 | 49 |
| 21.1 | 30 |
| 23.8 | 61 |
| 26.8 | 31 |
| 31.2 | 39 |
| 32.3 | 86 |
| 36.5 | 100 |
| 38.9 | 25 |
| 46.3 | 32 |
| 60.4 | 48 |

No. 3
The following is a computed powder diffraction line list of LiNbF5. It was derived from a structure optimized by DFT (GGA-PBE), using Cu Kα (weighted mean of Kα1 and Kα2).
Lines closer than 0.1° are merged.

Structural model:
Lattice parameters (Å, degrees): 9.124 9.124 5.379 98.10 98.10 107.96
Positions (direct):
Li 0.007 0.645 0.946
Li 0.355 0.993 0.054
Li 0.645 0.007 0.946
Li 0.993 0.355 0.054
Nb 0.276 0.276 0.710
Nb 0.295 0.705 0.500
Nb 0.705 0.295 0.500
Nb 0.724 0.724 0.290
F 0.068 0.256 0.797
F 0.123 0.697 0.689
F 0.143 0.563 0.174
F 0.194 0.194 0.350
F 0.256 0.068 0.797
F 0.294 0.500 0.625
F 0.303 0.877 0.311
F 0.381 0.381 0.051
F 0.437 0.857 0.826
F 0.500 0.294 0.625
F 0.500 0.706 0.375
F 0.563 0.143 0.174
F 0.619 0.619 0.949
F 0.697 0.123 0.689
F 0.706 0.500 0.375
F 0.744 0.932 0.203
F 0.806 0.806 0.650
F 0.857 0.437 0.826
F 0.877 0.303 0.311
F 0.932 0.744 0.203

Peak list (10 most intense, 2θ from 15° to 90°, in order of rising 2θ)
| 2theta | I_rel |
| --- | --- |
| 17.0 | 28 |
| 20.9 | 100 |
| 21.6 | 41 |
| 24.1 | 22 |
| 24.3 | 40 |
| 24.9 | 52 |
| 31.5 | 17 |
| 41.2 | 34 |
| 42.3 | 21 |
| 49.2 | 19 |